MnTl2VF6: theoretical XRD peak list (Cu Kα (weighted mean of Kα1 and Kα2)), based on DFT lattice parameters and positions (PBE+U).

Top 10 peaks for 10° ≤ 2θ ≤ 80°, by angle:
- 2θ = 20.69°, I = 32
- 2θ = 29.42°, I = 100
- 2θ = 36.24°, I = 30
- 2θ = 42.10°, I = 34
- 2θ = 47.35°, I = 17
- 2θ = 52.19°, I = 41
- 2θ = 61.05°, I = 18
- 2θ = 65.20°, I = 9
- 2θ = 69.21°, I = 18
- 2θ = 73.11°, I = 11

Crystal structure
abc: 6.070 6.070 6.070
angles: 120.03 119.93 90.04
Fractional coordinates of all 10 atoms:
Mn 0.000 0.000 0.000
Tl 0.250 0.750 0.500
Tl 0.750 0.250 0.500
V 0.500 0.500 0.000
F 0.251 0.251 0.000
F 0.251 0.251 0.501
F 0.251 0.749 0.000
F 0.749 0.251 0.000
F 0.749 0.749 0.000
F 0.749 0.749 0.499